(1)
The following is a simulated X-ray diffraction stick pattern of Na3MgTl2. It was derived from a cell relaxed with PBE, using λ = 1.5418 Å (Cu Kα).
No peak broadening, texture or thermal motion is included.

Principal peaks in the range 10 to 80 degrees two-theta, in order of rising 2θ:
| 2θ/deg | intensity | hkl |
| --- | --- | --- |
| 17.55 | 63 | 0 0 2 |
| 21.15 | 100 | 1 1 1 |
| 27.56 | 57 | 3 1 -1 |
| 31.82 | 44 | 4 0 0 |
| 32.48 | 49 | 0 2 0 |
| 33.22 | 82 | 3 1 -3 |
| 34.40 | 73 | 1 1 3 |
| 46.10 | 44 | 4 2 0 |

Crystal structure
Unit cell a=11.9861 b=5.5134 c=10.7690 alpha=90.00 beta=110.21 gamma=90.00
Space group C2/m (No. 12)
Symmetry-distinct sites (fractional):
Na  0.1259  0.0000  0.1200 [4 per cell]
Na  0.1292  0.5000  0.2927 [4 per cell]
Na  0.1300  0.5000  0.6222 [4 per cell]
Mg  0.1259  0.0000  0.8000 [4 per cell]
Tl  0.1122  0.0000  0.4495 [4 per cell]
Tl  0.1265  0.5000  0.9521 [4 per cell]



(2)
The following is a simulated X-ray diffraction stick pattern of NaMg14W. It was derived from a cell relaxed with PBE, using λ = 1.5418 Å (Cu Kα).
No peak broadening, texture or thermal motion is included.

Principal peaks in the range 10 to 80 degrees two-theta, in order of rising 2θ:
| 2θ/deg | intensity | hkl |
| --- | --- | --- |
| 16.16 | 40 | 1 0 0 |
| 18.38 | 61 | 1 0 1 |
| 23.85 | 28 | 1 0 2 |
| 32.66 | 29 | 2 0 0 |
| 35.26 | 24 | 0 0 4 |
| 37.25 | 100 | 2 0 2 |
| 48.82 | 18 | 2 0 4 |
| 69.98 | 18 | 2 2 4 |

Crystal structure
Unit cell a=6.3327 b=6.3327 c=10.1804 alpha=90.00 beta=90.00 gamma=120.00
Space group P-6m2 (No. 187)
Symmetry-distinct sites (fractional):
Na  0.0000  0.0000  0.0000 [1 per cell]
Mg  0.0058  0.5029  0.0000 [3 per cell]
Mg  0.1616  0.3232  0.2654 [6 per cell]
Mg  0.5018  0.0035  0.5000 [3 per cell]
Mg  0.6667  0.3333  0.2442 [2 per cell]
W  0.0000  0.0000  0.5000 [1 per cell]



(3)
The following is a simulated X-ray diffraction stick pattern of NaMgZn17. It was derived from a cell relaxed with PBE, using λ = 1.5418 Å (Cu Kα).
No peak broadening, texture or thermal motion is included.

Principal peaks in the range 10 to 80 degrees two-theta, in order of rising 2θ:
| 2θ/deg | intensity | hkl |
| --- | --- | --- |
| 13.18 | 22 | 1 0 1 |
| 19.70 | 34 | 1 1 0 |
| 34.47 | 22 | 3 0 0 |
| 40.02 | 44 | 2 2 0 |
| 40.28 | 76 | 0 3 3 |
| 41.08 | 36 | 0 0 6 |
| 45.23 | 100 | 2 2 3 |
| 45.95 | 30 | 1 1 6 |

Crystal structure
Unit cell a=9.0127 b=9.0127 c=13.1830 alpha=90.00 beta=90.00 gamma=120.00
Space group R3m (No. 160, hexagonal axes)
Symmetry-distinct sites (fractional):
Na  0.0000  0.0000  0.0000 [3 per cell]
Mg  0.0000  0.0000  0.6805 [3 per cell]
Zn  0.0000  0.0000  0.2422 [3 per cell]
Zn  0.0000  0.0000  0.4474 [3 per cell]
Zn  0.0013  0.5006  0.1895 [9 per cell]
Zn  0.0026  0.3054  0.3410 [18 per cell]
Zn  0.0064  0.5032  0.8387 [9 per cell]
Zn  0.0128  0.5064  0.4948 [9 per cell]



(4)
The following is a simulated X-ray diffraction stick pattern of NaMg3Zn8. It was derived from a cell relaxed with PBE, using λ = 1.5418 Å (Cu Kα).
No peak broadening, texture or thermal motion is included.

Principal peaks in the range 10 to 80 degrees two-theta, in order of rising 2θ:
| 2θ/deg | intensity | hkl |
| --- | --- | --- |
| 19.44 | 48 | 1 0 0 |
| 20.86 | 26 | 0 0 2 |
| 22.09 | 29 | 1 0 1 |
| 37.30 | 35 | 1 0 3 |
| 40.23 | 82 | 1 1 2 |
| 40.92 | 100 | 0 2 1 |
| 42.46 | 30 | 0 0 4 |
| 45.05 | 48 | 2 0 2 |

Crystal structure
Unit cell a=5.2731 b=5.2731 c=8.5163 alpha=90.00 beta=90.00 gamma=120.00
Space group P3m1 (No. 156)
Symmetry-distinct sites (fractional):
Na  0.0000  0.0000  0.0000 [1 per cell]
Mg  0.0000  0.0000  0.3758 [1 per cell]
Mg  0.6667  0.3333  0.4997 [1 per cell]
Mg  0.6667  0.3333  0.8760 [1 per cell]
Zn  0.1633  0.3265  0.6847 [3 per cell]
Zn  0.3333  0.6667  0.4385 [1 per cell]
Zn  0.3333  0.6667  0.9382 [1 per cell]
Zn  0.5035  0.0070  0.1910 [3 per cell]



(5)
The following is a simulated X-ray diffraction stick pattern of Na2Mg2Zn15. It was derived from a cell relaxed with PBE, using λ = 1.5418 Å (Cu Kα).
No peak broadening, texture or thermal motion is included.

Principal peaks in the range 10 to 80 degrees two-theta, in order of rising 2θ:
| 2θ/deg | intensity | hkl |
| --- | --- | --- |
| 19.28 | 72 | 1 1 0 |
| 35.10 | 16 | 0 2 4 |
| 39.14 | 36 | 2 2 0 |
| 39.51 | 83 | 0 3 3 |
| 40.60 | 35 | 0 0 6 |
| 44.33 | 100 | 2 2 3 |
| 45.32 | 22 | 1 1 6 |
| 70.93 | 17 | 6 0 0 |

Crystal structure
Unit cell a=9.2054 b=9.2054 c=13.3320 alpha=90.00 beta=90.00 gamma=120.00
Space group R-3m (No. 166, hexagonal axes)
Symmetry-distinct sites (fractional):
Na  0.0000  0.0000  0.1506 [6 per cell]
Mg  0.0000  0.0000  0.3926 [6 per cell]
Zn  0.0000  0.2987  0.5000 [18 per cell]
Zn  0.0000  0.5000  0.0000 [9 per cell]
Zn  0.0065  0.5033  0.6496 [18 per cell]